Theoretical X-ray powder pattern
Compound: CrReP
Radiation: λ = 1.5418 Å (Cu Kα)
Structure: a crystal structure in Alexandria, relaxed with PBE
Neutral-atom scattering factors, no anomalous dispersion.

Most intense lines, 10 to 80 degrees two-theta, sorted by position:
| d [Å] | I/Imax |
| --- | --- |
| 4.584 | 44 |
| 2.724 | 72 |
| 2.292 | 16 |
| 2.085 | 100 |
| 2.018 | 47 |
| 1.847 | 17 |
| 1.514 | 17 |
| 1.218 | 15 |

Structure:
```
data_CrReP
_chemical_formula_sum 'Cr2 Re2 P2'
_symmetry_space_group_name_H-M 'I 4 m m'
_symmetry_Int_Tables_number 107
_symmetry_space_group_name_Hall 'I 4 -2'
_cell_length_a 2.8532
_cell_length_b 2.8532
_cell_length_c 9.1674
_cell_angle_alpha 90.00
_cell_angle_beta 90.00
_cell_angle_gamma 90.00
loop_
_atom_site_label
_atom_site_type_symbol
_atom_site_fract_x
_atom_site_fract_y
_atom_site_fract_z
Cr1 Cr 0.0000 0.0000 0.0000
Re1 Re 0.0000 0.0000 0.3072
P1 P 0.0000 0.0000 0.6373
```



Theoretical X-ray powder pattern
Compound: SrCrP2S8
Radiation: λ = 1.5418 Å (Cu Kα)
Structure: a crystal structure in Alexandria, relaxed with PBE
Neutral-atom scattering factors, no anomalous dispersion.

Most intense lines, 10 to 80 degrees two-theta, sorted by position:
| d [Å] | I/Imax |
| --- | --- |
| 5.080 | 38 |
| 3.265 | 69 |
| 2.933 | 41 |
| 2.841 | 41 |
| 2.773 | 100 |
| 2.416 | 93 |
| 1.724 | 54 |
| 1.693 | 52 |

Structure:
```
data_SrCrP2S8
_chemical_formula_sum 'Sr1 Cr1 P2 S8'
_symmetry_space_group_name_H-M 'P -3'
_symmetry_Int_Tables_number 147
_symmetry_space_group_name_Hall '-P 3'
_cell_length_a 5.8657
_cell_length_b 5.8657
_cell_length_c 8.5235
_cell_angle_alpha 90.00
_cell_angle_beta 90.00
_cell_angle_gamma 120.00
loop_
_atom_site_label
_atom_site_type_symbol
_atom_site_fract_x
_atom_site_fract_y
_atom_site_fract_z
Sr1 Sr 0.0000 0.0000 0.0000
Cr1 Cr 0.0000 0.0000 0.5000
P1 P 0.3333 0.6667 0.7311
S1 S 0.0057 0.6819 0.3305
S2 S 0.3333 0.6667 0.9683
```



Theoretical X-ray powder pattern
Compound: TlCrP2S8
Radiation: λ = 1.5418 Å (Cu Kα)
Structure: a crystal structure in Alexandria, relaxed with PBE
Neutral-atom scattering factors, no anomalous dispersion.

Most intense lines, 10 to 80 degrees two-theta, sorted by position:
| d [Å] | I/Imax |
| --- | --- |
| 4.773 | 24 |
| 4.126 | 100 |
| 3.162 | 34 |
| 2.926 | 32 |
| 2.796 | 57 |
| 2.490 | 51 |
| 2.387 | 25 |
| 1.689 | 24 |

Structure:
```
data_TlCrP2S8
_chemical_formula_sum 'Tl3 Cr3 P6 S24'
_symmetry_space_group_name_H-M 'R -3'
_symmetry_Int_Tables_number 148
_symmetry_space_group_name_Hall '-R 3'
_cell_length_a 5.8516
_cell_length_b 5.8516
_cell_length_c 28.4195
_cell_angle_alpha 90.00
_cell_angle_beta 90.00
_cell_angle_gamma 120.00
loop_
_atom_site_label
_atom_site_type_symbol
_atom_site_fract_x
_atom_site_fract_y
_atom_site_fract_z
Tl1 Tl 0.0000 0.0000 0.0000
Cr1 Cr 0.0000 0.0000 0.5000
P1 P 0.0000 0.0000 0.2348
S1 S 0.0000 0.0000 0.3048
S2 S 0.0049 0.6620 0.7878
```



Theoretical X-ray powder pattern
Compound: Cr2SbP
Radiation: λ = 1.5418 Å (Cu Kα)
Structure: a crystal structure in Alexandria, relaxed with PBE
Neutral-atom scattering factors, no anomalous dispersion.

Most intense lines, 10 to 80 degrees two-theta, sorted by position:
| d [Å] | I/Imax |
| --- | --- |
| 4.082 | 14 |
| 3.129 | 33 |
| 2.478 | 40 |
| 2.232 | 100 |
| 2.159 | 24 |
| 1.943 | 17 |
| 1.737 | 13 |
| 1.378 | 20 |

Structure:
```
data_Cr2SbP
_chemical_formula_sum 'Cr4 Sb2 P2'
_symmetry_space_group_name_H-M 'I m m m'
_symmetry_Int_Tables_number 71
_symmetry_space_group_name_Hall '-I 2 2'
_cell_length_a 3.4741
_cell_length_b 4.9568
_cell_length_c 7.1972
_cell_angle_alpha 90.00
_cell_angle_beta 90.00
_cell_angle_gamma 90.00
loop_
_atom_site_label
_atom_site_type_symbol
_atom_site_fract_x
_atom_site_fract_y
_atom_site_fract_z
Cr1 Cr 0.0000 0.0000 0.2025
Sb1 Sb 0.0000 0.5000 0.0000
P1 P 0.0000 0.5000 0.5000
```